Record 1
Starting from a crystal structure in Alexandria, relaxed with GGA-PBE, the X-ray powder pattern of KTb2AuO5 was simulated for Cu Kα, 1.54184 Å.
Intensities are scaled so that the largest is 100.

Main lines, by angle (10 to 90 degrees two-theta):
18.97°, intensity 54.6, (1 1 0)
28.93°, intensity 45.8, (0 0 4)
30.66°, intensity 100.0, (2 0 2)
31.08°, intensity 43.0, (2 1 1)
37.44°, intensity 46.9, (2 1 3)
38.48°, intensity 21.5, (2 2 0)
45.79°, intensity 43.9, (3 1 2)
47.99°, intensity 26.2, (2 1 5)
48.85°, intensity 21.2, (2 2 4)
52.37°, intensity 22.1, (2 0 6)

```
data_KTb2AuO5
_cell_length_a 6.6163
_cell_length_b 6.6163
_cell_length_c 12.3451
_cell_angle_alpha 90.00
_cell_angle_beta 90.00
_cell_angle_gamma 90.00
_symmetry_space_group_name_H-M 'I 4/m c m'
_symmetry_Int_Tables_number 140
_symmetry_space_group_name_Hall '-I 4 2c'
loop_
_atom_site_label
_atom_site_type_symbol
_atom_site_fract_x
_atom_site_fract_y
_atom_site_fract_z
K1 K 0.0000 0.0000 0.2500
Tb1 Tb 0.1732 0.3268 0.0000
Au1 Au 0.0000 0.5000 0.2500
O1 O 0.0000 0.0000 0.0000
O2 O 0.1353 0.3647 0.3880
```



Record 2
Starting from a crystal structure in Alexandria, relaxed with GGA-PBE, the X-ray powder pattern of Dy7YEr4 was simulated for Cu Kα, 1.54184 Å.
Intensities are scaled so that the largest is 100.

Main lines, by angle (10 to 90 degrees two-theta):
30.72°, intensity 34.6, (0 0 3)
31.31°, intensity 37.6, (2 0 2)
31.82°, intensity 100.0, (1 -2 0)
32.29°, intensity 13.9, (2 1 2)
32.59°, intensity 50.0, (2 0 -1)
32.72°, intensity 31.9, (1 2 2)
33.10°, intensity 20.4, (0 1 3)
34.87°, intensity 14.0, (1 -1 3)
47.22°, intensity 12.3, (3 2 1)
57.72°, intensity 15.5, (-3 2 1)

```
data_Dy7YEr4
_cell_length_a 6.4588
_cell_length_b 6.7810
_cell_length_c 8.9792
_cell_angle_alpha 86.17
_cell_angle_beta 76.68
_cell_angle_gamma 82.03
_symmetry_space_group_name_H-M 'P -1'
_symmetry_Int_Tables_number 2
_symmetry_space_group_name_Hall '-P 1'
loop_
_atom_site_label
_atom_site_type_symbol
_atom_site_fract_x
_atom_site_fract_y
_atom_site_fract_z
Dy1 Dy 0.0000 0.0000 0.0000
Dy2 Dy 0.1919 0.6032 0.3867
Dy3 Dy 0.3146 0.2037 0.6419
Dy4 Dy 0.4847 0.7505 0.0511
Y1 Y 0.0000 0.5000 0.0000
Er1 Er 0.1608 0.1117 0.3140
Er2 Er 0.3586 0.6969 0.7138
```



Record 3
Starting from a crystal structure in Alexandria, relaxed with GGA-PBE, the X-ray powder pattern of Mn3GaTc was simulated for Cu Kα, 1.54184 Å.
Intensities are scaled so that the largest is 100.

Main lines, by angle (10 to 90 degrees two-theta):
21.09°, intensity 4.8, (1 0 0)
30.00°, intensity 64.7, (1 1 0)
36.97°, intensity 67.2, (1 1 1)
42.95°, intensity 100.0, (2 0 0)
53.27°, intensity 26.0, (2 1 1)
62.35°, intensity 61.7, (2 2 0)
70.73°, intensity 11.1, (3 1 0)
74.75°, intensity 21.8, (3 1 1)
78.70°, intensity 20.1, (2 2 2)
86.45°, intensity 13.1, (3 2 1)

```
data_Mn3GaTc
_cell_length_a 4.2120
_cell_length_b 4.2120
_cell_length_c 4.2120
_cell_angle_alpha 90.00
_cell_angle_beta 90.00
_cell_angle_gamma 90.00
_symmetry_space_group_name_H-M 'P m -3 m'
_symmetry_Int_Tables_number 221
_symmetry_space_group_name_Hall '-P 4 2 3'
loop_
_atom_site_label
_atom_site_type_symbol
_atom_site_fract_x
_atom_site_fract_y
_atom_site_fract_z
Mn1 Mn 0.0000 0.0000 0.5000
Ga1 Ga 0.0000 0.0000 0.0000
Tc1 Tc 0.5000 0.5000 0.5000
```



Record 4
Starting from a crystal structure in Alexandria, relaxed with GGA-PBE, the X-ray powder pattern of La8OsRh3 was simulated for Cu Kα, 1.54184 Å.
Intensities are scaled so that the largest is 100.

Main lines, by angle (10 to 90 degrees two-theta):
12.96°, intensity 59.3, (2 0 0)
26.24°, intensity 27.4, (2 2 -1)
28.37°, intensity 20.0, (2 0 -2)
30.50°, intensity 100.0, (2 2 1)
33.01°, intensity 65.4, (4 0 -2)
33.34°, intensity 27.4, (4 2 0)
41.50°, intensity 30.4, (0 4 0)
43.24°, intensity 38.7, (6 2 -1)
47.75°, intensity 19.5, (2 2 -3)
54.01°, intensity 23.4, (4 4 -2)

```
data_La8OsRh3
_cell_length_a 14.3556
_cell_length_b 8.7039
_cell_length_c 6.3549
_cell_angle_alpha 90.00
_cell_angle_beta 107.85
_cell_angle_gamma 90.00
_symmetry_space_group_name_H-M 'C 1 m 1'
_symmetry_Int_Tables_number 8
_symmetry_space_group_name_Hall 'C -2y'
loop_
_atom_site_label
_atom_site_type_symbol
_atom_site_fract_x
_atom_site_fract_y
_atom_site_fract_z
La1 La 0.0000 0.0000 0.0000
La2 La 0.0010 0.5000 0.9952
La3 La 0.0441 0.2441 0.5453
La4 La 0.2546 0.5000 0.5555
La5 La 0.2596 0.0000 0.5594
La6 La 0.2997 0.2537 0.1136
Os1 Os 0.4169 0.5000 0.3786
Rh1 Rh 0.3806 0.2498 0.7273
Rh2 Rh 0.4212 0.0000 0.3733
```



Record 5
Starting from a crystal structure in Alexandria, relaxed with GGA-PBE, the X-ray powder pattern of Hf2Mn3Tc was simulated for Cu Kα, 1.54184 Å.
Intensities are scaled so that the largest is 100.

Main lines, by angle (10 to 90 degrees two-theta):
35.43°, intensity 76.6, (1 1 0)
35.91°, intensity 44.4, (1 0 4)
41.84°, intensity 30.5, (0 2 1)
42.04°, intensity 100.0, (1 1 3)
42.46°, intensity 48.0, (0 1 5)
43.86°, intensity 18.8, (2 0 2)
68.15°, intensity 23.4, (3 0 3)
68.45°, intensity 22.8, (1 2 5)
74.98°, intensity 20.2, (2 2 0)
76.12°, intensity 19.4, (2 0 8)

```
data_Hf2Mn3Tc
_cell_length_a 5.0668
_cell_length_b 5.0668
_cell_length_c 12.1748
_cell_angle_alpha 90.00
_cell_angle_beta 90.00
_cell_angle_gamma 120.00
_symmetry_space_group_name_H-M 'R -3 m'
_symmetry_Int_Tables_number 166
_symmetry_space_group_name_Hall '-R 3 2"'
loop_
_atom_site_label
_atom_site_type_symbol
_atom_site_fract_x
_atom_site_fract_y
_atom_site_fract_z
Hf1 Hf 0.0000 0.0000 0.1252
Mn1 Mn 0.0000 0.5000 0.0000
Tc1 Tc 0.0000 0.0000 0.5000
```



Record 6
Starting from a crystal structure in Alexandria, relaxed with GGA-PBE, the X-ray powder pattern of Ba2Hg was simulated for Cu Kα, 1.54184 Å.
Intensities are scaled so that the largest is 100.

Main lines, by angle (10 to 90 degrees two-theta):
18.11°, intensity 53.2, (1 1 1)
23.44°, intensity 74.5, (2 1 0)
25.72°, intensity 35.0, (2 1 1)
29.78°, intensity 59.6, (2 2 0)
35.07°, intensity 100.0, (3 1 1)
39.75°, intensity 36.6, (3 1 2)
47.94°, intensity 40.2, (4 2 0)
56.34°, intensity 34.0, (3 3 3)
65.02°, intensity 25.2, (5 3 1)
88.51°, intensity 24.4, (7 3 1)

```
data_Ba2Hg
_cell_length_a 8.4856
_cell_length_b 8.4856
_cell_length_c 8.4856
_cell_angle_alpha 90.00
_cell_angle_beta 90.00
_cell_angle_gamma 90.00
_symmetry_space_group_name_H-M 'P a -3'
_symmetry_Int_Tables_number 205
_symmetry_space_group_name_Hall '-P 2ac 2ab 3'
loop_
_atom_site_label
_atom_site_type_symbol
_atom_site_fract_x
_atom_site_fract_y
_atom_site_fract_z
Ba1 Ba 0.1586 0.1586 0.1586
Hg1 Hg 0.0000 0.0000 0.5000
```



Record 7
Starting from a crystal structure in Alexandria, relaxed with GGA-PBE, the X-ray powder pattern of Sn3TeSe6 was simulated for Cu Kα, 1.54184 Å.
Intensities are scaled so that the largest is 100.

Main lines, by angle (10 to 90 degrees two-theta):
13.78°, intensity 85.3, (1 0 -2)
26.36°, intensity 39.1, (2 1 -1)
27.75°, intensity 35.2, (2 0 -4)
29.44°, intensity 37.4, (2 1 1)
30.75°, intensity 44.9, (3 1 -1)
31.37°, intensity 100.0, (3 1 -2)
31.93°, intensity 50.8, (3 1 0)
40.69°, intensity 26.0, (4 1 -4)
45.12°, intensity 41.7, (4 1 2)
45.22°, intensity 39.4, (0 2 0)

```
data_Sn3TeSe6
_cell_length_a 12.6822
_cell_length_b 4.0108
_cell_length_c 12.9954
_cell_angle_alpha 90.00
_cell_angle_beta 112.04
_cell_angle_gamma 90.00
_symmetry_space_group_name_H-M 'P 1 21/m 1'
_symmetry_Int_Tables_number 11
_symmetry_space_group_name_Hall '-P 2yb'
loop_
_atom_site_label
_atom_site_type_symbol
_atom_site_fract_x
_atom_site_fract_y
_atom_site_fract_z
Sn1 Sn 0.0821 0.2500 0.2415
Sn2 Sn 0.3640 0.7500 0.4137
Sn3 Sn 0.3804 0.2500 0.0623
Te1 Te 0.2335 0.7500 0.7671
Se1 Se 0.0759 0.2500 0.6807
Se2 Se 0.2078 0.7500 0.9587
Se3 Se 0.2167 0.7500 0.1965
Se4 Se 0.2379 0.2500 0.4595
Se5 Se 0.4146 0.2500 0.8624
Se6 Se 0.4931 0.2500 0.3686
```



Record 8
Starting from a crystal structure in Alexandria, relaxed with GGA-PBE, the X-ray powder pattern of Sc3ZnIn was simulated for Cu Kα, 1.54184 Å.
Intensities are scaled so that the largest is 100.

Main lines, by angle (10 to 90 degrees two-theta):
19.29°, intensity 8.3, (0 4 0)
26.39°, intensity 12.8, (1 1 1)
35.75°, intensity 100.0, (1 5 1)
37.01°, intensity 46.2, (2 0 0)
49.52°, intensity 8.8, (0 10 0)
53.34°, intensity 15.1, (2 0 2)
63.40°, intensity 15.9, (2 10 0)
65.88°, intensity 30.0, (3 5 1)
75.74°, intensity 9.2, (2 10 2)
89.67°, intensity 6.4, (3 5 3)

```
data_Sc3ZnIn
_cell_length_a 4.8586
_cell_length_b 18.4079
_cell_length_c 4.8575
_cell_angle_alpha 90.00
_cell_angle_beta 90.00
_cell_angle_gamma 90.00
_symmetry_space_group_name_H-M 'C m c m'
_symmetry_Int_Tables_number 63
_symmetry_space_group_name_Hall '-C 2c 2'
loop_
_atom_site_label
_atom_site_type_symbol
_atom_site_fract_x
_atom_site_fract_y
_atom_site_fract_z
Sc1 Sc 0.0000 0.0570 0.2500
Sc2 Sc 0.0000 0.2499 0.2500
Sc3 Sc 0.0000 0.4424 0.2500
Zn1 Zn 0.0000 0.3481 0.7500
In1 In 0.0000 0.1539 0.7500
```



Record 9
Starting from a crystal structure in Alexandria, relaxed with GGA-PBE, the X-ray powder pattern of SrAl2Pt8 was simulated for Cu Kα, 1.54184 Å.
Intensities are scaled so that the largest is 100.

Main lines, by angle (10 to 90 degrees two-theta):
10.16°, intensity 54.3, (0 0 1)
20.40°, intensity 86.2, (0 0 2)
30.82°, intensity 36.7, (0 0 3)
33.82°, intensity 74.8, (2 0 0)
39.82°, intensity 100.0, (2 0 2)
46.40°, intensity 43.1, (2 0 3)
48.58°, intensity 39.8, (2 2 0)
53.22°, intensity 28.1, (2 2 2)
58.64°, intensity 24.3, (2 2 3)
63.99°, intensity 30.7, (2 0 5)

```
data_SrAl2Pt8
_cell_length_a 5.3003
_cell_length_b 5.3003
_cell_length_c 8.7049
_cell_angle_alpha 90.00
_cell_angle_beta 90.00
_cell_angle_gamma 90.00
_symmetry_space_group_name_H-M 'P 4/m m m'
_symmetry_Int_Tables_number 123
_symmetry_space_group_name_Hall '-P 4 2'
loop_
_atom_site_label
_atom_site_type_symbol
_atom_site_fract_x
_atom_site_fract_y
_atom_site_fract_z
Sr1 Sr 0.0000 0.0000 0.0000
Al1 Al 0.0000 0.5000 0.5000
Pt1 Pt 0.2517 0.2517 0.2969
```



Record 10
Starting from a crystal structure in Alexandria, relaxed with GGA-PBE, the X-ray powder pattern of CdFe4Rh5 was simulated for Cu Kα, 1.54184 Å.
Intensities are scaled so that the largest is 100.

Main lines, by angle (10 to 90 degrees two-theta):
29.54°, intensity 5.9, (1 0 0)
34.29°, intensity 3.5, (1 0 3)
37.61°, intensity 6.1, (1 0 4)
41.54°, intensity 100.0, (1 0 5)
42.27°, intensity 54.8, (1 1 0)
45.98°, intensity 4.5, (1 0 6)
59.08°, intensity 5.4, (0 0 10)
61.32°, intensity 17.4, (2 0 0)
75.30°, intensity 10.3, (1 1 10)
76.80°, intensity 30.3, (2 1 5)

```
data_CdFe4Rh5
_cell_length_a 3.0235
_cell_length_b 3.0235
_cell_length_c 15.6363
_cell_angle_alpha 90.00
_cell_angle_beta 90.00
_cell_angle_gamma 90.00
_symmetry_space_group_name_H-M 'P 4/m m m'
_symmetry_Int_Tables_number 123
_symmetry_space_group_name_Hall '-P 4 2'
loop_
_atom_site_label
_atom_site_type_symbol
_atom_site_fract_x
_atom_site_fract_y
_atom_site_fract_z
Cd1 Cd 0.0000 0.0000 0.0000
Fe1 Fe 0.0000 0.0000 0.2100
Fe2 Fe 0.0000 0.0000 0.4039
Rh1 Rh 0.5000 0.5000 0.1213
Rh2 Rh 0.5000 0.5000 0.3089
Rh3 Rh 0.5000 0.5000 0.5000
```



Record 11
Starting from a crystal structure in Alexandria, relaxed with GGA-PBE, the X-ray powder pattern of Na5MgBi2 was simulated for Cu Kα, 1.54184 Å.
Intensities are scaled so that the largest is 100.

Main lines, by angle (10 to 90 degrees two-theta):
17.94°, intensity 49.5, (0 0 4)
18.37°, intensity 45.8, (1 0 0)
18.91°, intensity 89.2, (1 0 1)
22.82°, intensity 100.0, (1 0 3)
32.09°, intensity 88.4, (1 1 0)
36.85°, intensity 57.4, (1 0 7)
37.00°, intensity 51.2, (1 1 4)
39.74°, intensity 25.0, (2 0 3)
49.65°, intensity 24.9, (2 0 7)
60.36°, intensity 28.1, (2 1 7)

```
data_Na5MgBi2
_cell_length_a 5.5780
_cell_length_b 5.5780
_cell_length_c 19.7824
_cell_angle_alpha 90.00
_cell_angle_beta 90.00
_cell_angle_gamma 120.00
_symmetry_space_group_name_H-M 'P 63/m m c'
_symmetry_Int_Tables_number 194
_symmetry_space_group_name_Hall '-P 6c 2c'
loop_
_atom_site_label
_atom_site_type_symbol
_atom_site_fract_x
_atom_site_fract_y
_atom_site_fract_z
Na1 Na 0.0000 0.0000 0.1426
Na2 Na 0.3333 0.6667 0.0564
Na3 Na 0.3333 0.6667 0.2500
Mg1 Mg 0.3333 0.6667 0.7500
Bi1 Bi 0.3333 0.6667 0.6085
```



Record 12
Starting from a crystal structure in Alexandria, relaxed with GGA-PBE, the X-ray powder pattern of Hf6MnSn was simulated for Cu Kα, 1.54184 Å.
Intensities are scaled so that the largest is 100.

Main lines, by angle (10 to 90 degrees two-theta):
25.43°, intensity 23.6, (0 2 1)
32.09°, intensity 100.0, (2 1 1)
33.26°, intensity 28.6, (2 0 2)
36.94°, intensity 35.0, (0 0 3)
38.71°, intensity 85.1, (1 2 2)
39.08°, intensity 58.1, (2 2 0)
54.86°, intensity 29.2, (2 2 3)
59.20°, intensity 50.0, (0 5 1)
63.59°, intensity 27.9, (5 0 2)
73.24°, intensity 22.5, (4 3 1)

```
data_Hf6MnSn
_cell_length_a 9.2205
_cell_length_b 9.2205
_cell_length_c 7.3007
_cell_angle_alpha 90.00
_cell_angle_beta 90.00
_cell_angle_gamma 120.00
_symmetry_space_group_name_H-M 'R -3 m'
_symmetry_Int_Tables_number 166
_symmetry_space_group_name_Hall '-R 3 2"'
loop_
_atom_site_label
_atom_site_type_symbol
_atom_site_fract_x
_atom_site_fract_y
_atom_site_fract_z
Hf1 Hf 0.0590 0.5295 0.3132
Mn1 Mn 0.0000 0.0000 0.5000
Sn1 Sn 0.0000 0.0000 0.0000
```